Structure and theoretical XRD peak list of SrPaTi2O8 (DFT lattice parameters and positions (PBE); λ = 1.5418 Å (Cu Kα)).

Cell: 6.810 6.810 6.810 Å, 134.60 134.60 66.16°
Element x y z (fractional)
Sr 0.000 0.000 0.000
Pa 0.250 0.750 0.500
Ti 0.500 0.500 0.000
Ti 0.750 0.250 0.500
O 0.004 0.069 0.423
O 0.265 0.660 0.109
O 0.340 0.449 0.604
O 0.419 0.996 0.064
O 0.551 0.155 0.891
O 0.645 0.581 0.577
O 0.845 0.735 0.396
O 0.931 0.355 0.936

Peak list (10 most intense, 10 to 90 degrees two-theta, most intense first)
two_theta  I_rel
28.7  100
18.6  52
47.0  31
57.8  28
39.1  20
34.1  19
54.2  17
45.4  15
59.3  15
49.0  14